CuWO4: simulated powder XRD pattern (λ = 1.5418 Å (Cu Kα)), based on the PBE+U geometry in the Materials Project.

Structural model:
```
CuWO4
1.0
4.7331 0.0000 0.0000
0.2935 4.9694 0.0000
0.6960 0.2621 5.8792
Cu W O
2 2 8
Direct
0.0014 0.2530 0.3393
0.9986 0.7470 0.6607
0.4919 0.2531 0.8296
0.5081 0.7469 0.1704
0.2298 0.9078 0.3837
0.2492 0.4273 0.6466
0.2837 0.4305 0.1195
0.2844 0.9436 0.9099
0.7156 0.0564 0.0901
0.7163 0.5695 0.8805
0.7508 0.5727 0.3534
0.7702 0.0922 0.6163
```

The 12 most intense peaks (2θ = 5–70°), low angle first:
2theta  I/Imax  (hkl)
18.9  69  1 0 0
22.9  86  1 0 1
24.0  31  0 1 -1
25.6  48  1 0 -1
28.1  100  1 1 1
30.2  79  1 -1 1
31.2  68  1 1 -1
31.6  61  -1 1 1
34.8  45  0 1 2
36.2  76  0 2 0
38.4  31  2 0 0
52.2  29  2 2 0